Structure and computed X-ray diffraction stick pattern of Rb2HoCuI6 (DFT lattice parameters and positions (GGA-PBE); Cu Kα).

Most intense lines, 2θ = 15–90°, sorted by position:
index  d_spacing  2θ/deg  I/Imax
2 0 -1  5.848  15.2  36
2 2 0  3.414  26.1  100
0 4 0  3.025  29.5  51
0 0 2  2.930  30.5  46
4 0 -2  2.917  30.6  46
0 4 2  2.105  43.0  36
4 4 -2  2.100  43.1  35
4 0 0  2.067  43.8  33
2 6 0  1.813  50.3  16
2 2 2  1.771  51.6  14
4 4 0  1.707  53.7  36
0 8 2  1.343  70.0  22

Cell and atoms:
Cell: 11.669 12.100 8.270 Å, 90.00 134.87 90.00°
Space group C2/m (No. 12)
Inequivalent atoms, fractional coordinates:
Rb  0.000  0.250  0.000
Ho  0.000  0.000  0.500
Cu  0.000  0.500  0.500
I  0.000  0.249  0.500
I  0.242  0.500  0.501
I  0.242  0.500  0.985



Structure and computed X-ray diffraction stick pattern of Ho6InCu (DFT lattice parameters and positions (GGA-PBE); Cu Kα).

Most intense lines, 2θ = 15–90°, sorted by position:
index  d_spacing  2θ/deg  I/Imax
1 1 0  3.612  24.6  9
1 0 4  3.414  26.1  13
1 1 3  3.008  29.7  100
2 0 2  2.920  30.6  13
0 0 6  2.716  33.0  13
3 -1 1  2.340  38.5  10
3 -2 2  2.271  39.7  9
2 -1 6  2.171  41.6  27
3 0 0  2.085  43.4  26
4 -2 3  1.714  53.5  12
3 0 6  1.654  55.6  9
1 1 9  1.619  56.9  15

Cell and atoms:
Cell: 7.2237 7.2237 16.2971 Å, 90.00 90.00 120.00°
Space group R-3 (No. 148, hexagonal axes)
Inequivalent atoms, fractional coordinates:
Ho  0.0252  0.3072  0.2462
In  0.0000  0.0000  0.0000
Cu  0.0000  0.0000  0.5000



Structure and computed X-ray diffraction stick pattern of Ho5In4Cu (DFT lattice parameters and positions (GGA-PBE); Cu Kα).

Most intense lines, 2θ = 15–90°, sorted by position:
index  d_spacing  2θ/deg  I/Imax
1 0 4  2.894  30.9  7
1 0 5  2.660  33.7  100
1 1 0  2.496  36.0  47
0 0 10  2.023  44.8  8
2 0 0  1.765  51.8  16
1 1 9  1.670  55.0  6
1 1 10  1.572  58.8  14
2 1 5  1.470  63.2  32
1 0 14  1.337  70.4  6
2 0 10  1.330  70.9  8
3 0 5  1.130  86.1  7
3 1 0  1.116  87.4  7

Cell and atoms:
Cell: 3.529 3.529 20.231 Å, 90.00 90.00 90.00°
Space group P4/mmm (No. 123)
Inequivalent atoms, fractional coordinates:
Ho  0.000  0.000  0.000
Ho  0.000  0.000  0.209
Ho  0.000  0.000  0.417
In  0.500  0.500  0.104
In  0.500  0.500  0.313
Cu  0.500  0.500  0.500



Structure and computed X-ray diffraction stick pattern of Ho3In4CuTe8 (DFT lattice parameters and positions (GGA-PBE); Cu Kα).

Most intense lines, 2θ = 15–90°, sorted by position:
index  d_spacing  2θ/deg  I/Imax
4 0 0  3.162  28.2  100
2 2 2  2.291  39.3  38
6 2 -2  2.184  41.3  36
0 0 4  1.919  47.4  7
4 4 0  1.797  50.8  19
8 0 0  1.581  58.4  12
6 2 2  1.442  64.6  15
10 2 -2  1.388  67.5  16
4 0 4  1.345  69.9  5
8 4 0  1.281  74.0  11
12 0 -4  1.261  75.4  6
12 4 -4  1.092  89.8  4

Cell and atoms:
Cell: 15.137 8.736 9.188 Å, 90.00 123.32 90.00°
Space group C2/m (No. 12)
Inequivalent atoms, fractional coordinates:
Ho  0.000  0.000  0.000
Ho  0.250  0.250  0.000
In  0.000  0.000  0.500
In  0.000  0.500  0.500
In  0.250  0.250  0.500
Cu  0.000  0.500  0.000
Te  0.007  0.258  0.779
Te  0.237  0.500  0.223
Te  0.243  0.000  0.228



Structure and computed X-ray diffraction stick pattern of Ho4CuIr2 (DFT lattice parameters and positions (GGA-PBE); Cu Kα).

Most intense lines, 2θ = 15–90°, sorted by position:
index  d_spacing  2θ/deg  I/Imax
4 0 -2  3.040  29.4  6
4 0 -3  2.719  32.9  100
3 3 -1  2.298  39.2  59
4 2 0  1.923  47.3  12
1 3 2  1.833  49.7  11
0 4 2  1.755  52.1  13
4 4 -1  1.686  54.4  27
2 6 -1  1.395  67.1  23
6 2 0  1.359  69.1  10
4 4 -5  1.327  71.1  11
8 4 -4  1.241  76.8  6
1 7 1  1.170  82.4  13

Cell and atoms:
Cell: 12.154 8.595 8.598 Å, 90.00 134.95 90.00°
Space group C2 (No. 5)
Inequivalent atoms, fractional coordinates:
Ho  0.066  0.000  0.250
Ho  0.068  0.384  0.384
Ho  0.183  0.634  0.116
Ho  0.184  0.750  0.750
Cu  0.000  0.070  0.500
Cu  0.000  0.317  0.000
Ir  0.133  0.692  0.383
Ir  0.250  0.442  0.882



Structure and computed X-ray diffraction stick pattern of Ho8CuIr2 (DFT lattice parameters and positions (GGA-PBE); Cu Kα).

Most intense lines, 2θ = 15–90°, sorted by position:
index  d_spacing  2θ/deg  I/Imax
0 0 1  5.606  15.8  38
2 2 0  3.386  26.3  33
1 3 1  2.911  30.7  80
2 0 1  2.902  30.8  38
1 1 -2  2.845  31.4  34
0 4 1  2.721  32.9  66
3 1 -1  2.692  33.3  80
0 2 2  2.556  35.1  46
2 2 -2  2.474  36.3  38
2 4 0  2.465  36.5  40
1 5 -1  2.260  39.9  100
4 4 -2  1.635  56.3  29

Cell and atoms:
Cell: 8.430 12.451 5.856 Å, 90.00 106.79 90.00°
Space group Cm (No. 8)
Inequivalent atoms, fractional coordinates:
Ho  0.000  0.000  0.000
Ho  0.072  0.368  0.788
Ho  0.161  0.132  0.582
Ho  0.231  0.500  0.381
Ho  0.363  0.226  0.191
Cu  0.365  0.000  0.346
Ir  0.367  0.313  0.688



Structure and computed X-ray diffraction stick pattern of LaHoCu4 (DFT lattice parameters and positions (GGA-PBE); Cu Kα).

Most intense lines, 2θ = 15–90°, sorted by position:
index  d_spacing  2θ/deg  I/Imax
0 0 4  3.857  23.1  11
1 0 3  3.125  28.6  33
1 1 2  2.617  34.3  100
1 0 5  2.428  37.0  56
2 0 0  1.967  46.2  36
1 0 7  1.923  47.3  31
2 1 3  1.665  55.2  10
2 1 5  1.528  60.6  26
2 2 0  1.391  67.3  11
2 1 7  1.375  68.2  20
1 1 10  1.349  69.7  9
3 1 2  1.228  77.8  23

Cell and atoms:
Cell: 3.934 3.934 15.430 Å, 90.00 90.00 90.00°
Space group I-4m2 (No. 119)
Inequivalent atoms, fractional coordinates:
La  0.000  0.000  0.000
Ho  0.000  0.500  0.250
Cu  0.000  0.000  0.417
Cu  0.000  0.500  0.672



Structure and computed X-ray diffraction stick pattern of LaHoCu3 (DFT lattice parameters and positions (GGA-PBE); Cu Kα).

Most intense lines, 2θ = 15–90°, sorted by position:
index  d_spacing  2θ/deg  I/Imax
0 4 1  3.601  24.7  25
0 8 0  3.186  28.0  11
1 3 1  2.713  33.0  100
1 7 0  2.626  34.1  55
0 10 1  2.201  41.0  39
0 0 2  2.182  41.4  30
2 0 0  1.896  48.0  19
1 7 2  1.679  54.7  37
2 10 1  1.437  64.9  19
2 0 2  1.431  65.2  15
1 3 3  1.341  70.2  11
0 10 3  1.264  75.2  14

Cell and atoms:
Cell: 3.792 25.487 4.365 Å, 90.00 90.00 90.00°
Space group Cmcm (No. 63)
Inequivalent atoms, fractional coordinates:
La  0.000  0.074  0.250
Ho  0.000  0.206  0.750
Cu  0.000  0.324  0.750
Cu  0.000  0.378  0.250
Cu  0.000  0.476  0.250



Structure and computed X-ray diffraction stick pattern of LaHoCu2Si2 (DFT lattice parameters and positions (GGA-PBE); Cu Kα).

Most intense lines, 2θ = 15–90°, sorted by position:
index  d_spacing  2θ/deg  I/Imax
1 0 0  3.643  24.4  29
0 1 1  3.298  27.0  5
0 1 2  2.656  33.7  100
1 1 0  2.104  43.0  40
0 0 4  1.940  46.8  9
1 0 4  1.712  53.5  9
2 0 2  1.649  55.7  23
1 1 4  1.426  65.4  19
1 2 2  1.298  72.9  21
0 1 6  1.219  78.5  7
3 0 0  1.215  78.8  7
2 1 4  1.123  86.7  5

Cell and atoms:
Cell: 4.2071 4.2071 7.7606 Å, 90.00 90.00 120.00°
Space group P-3m1 (No. 164)
Inequivalent atoms, fractional coordinates:
La  0.0000  0.0000  0.0000
Ho  0.0000  0.0000  0.5000
Cu  0.3333  0.6667  0.7220
Si  0.3333  0.6667  0.2669



Structure and computed X-ray diffraction stick pattern of LaTbHoCu (DFT lattice parameters and positions (GGA-PBE); Cu Kα).

Most intense lines, 2θ = 15–90°, sorted by position:
index  d_spacing  2θ/deg  I/Imax
1 0 1  3.284  27.2  30
0 0 3  2.935  30.5  20
1 0 2  2.759  32.5  100
1 1 0  2.503  35.9  56
1 0 3  2.259  39.9  16
1 1 3  1.904  47.8  24
2 0 0  1.770  51.6  20
1 0 5  1.577  58.5  13
2 0 3  1.516  61.1  12
2 1 2  1.490  62.3  30
2 1 5  1.177  81.8  11
3 1 0  1.119  87.1  9

Cell and atoms:
Cell: 3.539 3.539 8.806 Å, 90.00 90.00 90.00°
Space group P4mm (No. 99)
Inequivalent atoms, fractional coordinates:
La  0.000  0.000  0.000
Tb  0.500  0.500  0.687
Ho  0.500  0.500  0.311
Cu  0.000  0.000  0.494



Structure and computed X-ray diffraction stick pattern of LiHo4Cu3 (DFT lattice parameters and positions (GGA-PBE); Cu Kα).

Most intense lines, 2θ = 15–90°, sorted by position:
index  d_spacing  2θ/deg  I/Imax
1 0 4  3.491  25.5  32
1 1 0  2.469  36.4  100
0 2 4  2.014  45.0  7
2 0 8  1.746  52.4  17
1 1 12  1.563  59.1  6
2 1 4  1.560  59.2  7
1 0 16  1.428  65.4  7
3 0 0  1.425  65.5  26
2 2 0  1.233  77.4  6
1 3 4  1.163  83.0  5
2 1 16  1.105  88.5  7
3 1 8  1.103  88.6  8

Cell and atoms:
Cell: 4.9328 4.9328 24.2377 Å, 90.00 90.00 120.00°
Space group R-3m (No. 166, hexagonal axes)
Inequivalent atoms, fractional coordinates:
Li  0.0000  0.0000  0.0000
Ho  0.0000  0.0000  0.1290
Ho  0.0000  0.0000  0.3792
Cu  0.0000  0.0000  0.2560
Cu  0.0000  0.0000  0.5000



Structure and computed X-ray diffraction stick pattern of Li2Ho3Cu7 (DFT lattice parameters and positions (GGA-PBE); Cu Kα).

Most intense lines, 2θ = 15–90°, sorted by position:
index  d_spacing  2θ/deg  I/Imax
1 0 1  4.474  19.8  34
1 0 7  2.770  32.3  91
1 1 0  2.628  34.1  52
0 1 8  2.537  35.4  78
0 2 1  2.266  39.8  80
2 0 2  2.237  40.3  26
1 1 6  2.208  40.9  100
2 1 7  1.543  59.9  31
1 2 8  1.499  61.9  30
3 0 6  1.422  65.7  24
2 0 14  1.385  67.6  32
2 2 0  1.314  71.9  29

Cell and atoms:
Cell: 5.2552 5.2552 24.4422 Å, 90.00 90.00 120.00°
Space group R-3m (No. 166, hexagonal axes)
Inequivalent atoms, fractional coordinates:
Li  0.0000  0.0000  0.1676
Ho  0.0000  0.0000  0.3614
Ho  0.0000  0.0000  0.5000
Cu  0.0000  0.0000  0.0000
Cu  0.0010  0.5005  0.4168



Structure and computed X-ray diffraction stick pattern of Li2HoCu10 (DFT lattice parameters and positions (GGA-PBE); Cu Kα).

Most intense lines, 2θ = 15–90°, sorted by position:
index  d_spacing  2θ/deg  I/Imax
0 2 2  4.279  20.8  25
1 1 3  3.002  29.8  31
1 3 1  2.960  30.2  24
0 4 2  2.683  33.4  34
1 3 3  2.446  36.7  92
2 0 0  2.376  37.9  53
1 1 5  2.146  42.1  96
0 4 4  2.140  42.2  76
1 5 1  2.101  43.0  100
2 2 2  2.077  43.6  80
2 2 4  1.792  51.0  23
2 6 6  1.223  78.2  26

Cell and atoms:
Cell: 4.752 11.932 12.281 Å, 90.00 90.00 90.00°
Space group Fmmm (No. 69)
Inequivalent atoms, fractional coordinates:
Li  0.250  0.000  0.250
Ho  0.000  0.000  0.000
Cu  0.000  0.109  0.388
Cu  0.000  0.182  0.176
Cu  0.250  0.250  0.000